# 1
The following is a calculated X-ray diffraction stick pattern of Na2Fe4O7. It was derived from a PBE+U-relaxed structure, using Cu Kα (weighted mean of Kα1 and Kα2).
Intensities are scaled so that the largest is 100.

Principal peaks in the range 15° ≤ 2θ ≤ 90°, in order of rising 2θ:
d [Å], I (rel.), h k l
3.763, 13, 1 0 1
2.702, 100, 1 0 2
2.622, 96, 1 1 0
2.443, 19, 2 -1 1
2.068, 19, 2 -1 2
1.882, 39, 2 0 2
1.529, 34, 3 -1 2
1.514, 34, 3 0 0
1.415, 34, 1 1 4
1.180, 12, 3 1 2

Crystal structure
```
13
Lattice="5.245 0.000 0.000 -2.622 4.542 0.000 0.000 0.000 6.722" Properties=species:S:1:pos:R:3 pbc="T T T"
Na 0.000 3.028 0.000
Na 2.622 1.514 0.000
Fe 0.000 0.000 1.834
Fe 0.000 0.000 4.888
Fe 0.000 3.028 3.361
Fe 2.622 1.514 3.361
O 0.000 0.000 0.000
O -0.944 1.635 4.533
O -1.679 2.907 2.189
O 1.888 0.000 4.533
O 0.944 1.635 2.189
O 3.357 0.000 2.189
O 1.679 2.907 4.533
```

***

# 2
The following is a calculated X-ray diffraction stick pattern of LiCaVF6. It was derived from a PBE+U-relaxed structure, using Cu Kα (weighted mean of Kα1 and Kα2).
Intensities are scaled so that the largest is 100.

Principal peaks in the range 15° ≤ 2θ ≤ 90°, in order of rising 2θ:
d [Å], I (rel.), h k l
4.948, 10, 0 0 2
4.105, 63, 1 0 1
3.334, 100, 1 0 2
2.663, 14, 1 0 3
2.305, 64, 2 -1 2
2.052, 21, 2 0 2
1.794, 67, 2 -1 4
1.612, 21, 3 -1 2
1.504, 29, 3 0 0
1.152, 12, 2 2 4

Crystal structure
```
18
Lattice="5.209 0.000 0.000 -2.605 4.511 0.000 0.000 0.000 9.896" Properties=species:S:1:pos:R:3 pbc="T T T"
Li 0.000 3.007 2.474
Li 2.605 1.504 7.422
Ca 0.000 0.000 0.000
Ca 0.000 0.000 4.948
V 0.000 3.007 7.422
V 2.605 1.504 2.474
F -0.868 1.626 8.531
F -1.630 2.947 6.314
F 0.868 1.626 6.314
F -0.762 4.449 8.531
F 1.842 0.062 3.583
F 0.974 1.564 1.366
F 1.630 2.947 8.531
F 0.762 4.449 6.314
F 3.367 0.062 1.366
F 1.737 2.885 3.583
F 4.235 1.564 3.583
F 3.472 2.885 1.366
```

***

# 3
The following is a calculated X-ray diffraction stick pattern of HoMn2ZnO6. It was derived from a PBE+U-relaxed structure, using Cu Kα (weighted mean of Kα1 and Kα2).
Intensities are scaled so that the largest is 100.

Principal peaks in the range 15° ≤ 2θ ≤ 90°, in order of rising 2θ:
d [Å], I (rel.), h k l
4.410, 12, 1 1 0
4.289, 15, 1 0 1
3.358, 14, 1 1 1
2.699, 19, 0 2 0
2.673, 100, 2 1 1
2.590, 22, 0 0 2
1.912, 15, 4 0 0
1.869, 19, 0 2 2
1.659, 13, 1 3 1
1.511, 22, 2 1 3

Crystal structure
```
20
Lattice="7.650 0.000 0.000 0.000 5.398 0.000 0.000 0.000 5.180" Properties=species:S:1:pos:R:3 pbc="T T T"
Ho 0.000 1.000 0.000
Ho 3.825 4.398 2.590
Mn 1.911 1.401 2.496
Mn 1.914 3.997 5.086
Mn 5.738 1.401 2.496
Mn 5.736 3.997 5.086
Zn 0.000 3.813 2.450
Zn 3.825 1.585 5.040
O 0.000 1.645 3.045
O 0.000 4.250 4.434
O 1.446 2.414 0.925
O 1.443 5.080 1.506
O 2.382 0.318 4.096
O 2.378 2.984 3.515
O 3.825 1.148 1.844
O 3.825 3.753 0.456
O 5.267 0.318 4.096
O 5.271 2.984 3.515
O 6.203 2.414 0.925
O 6.207 5.080 1.506
```